# 1
Li2Pd2Au3: calculated powder diffractogram (λ = 1.5418 Å (Cu Kα)), based on a cell relaxed with GGA-PBE.

Largest 10 diffraction maxima, by angle, 2θ from 5° to 70°:
hkl	2theta	Rel. int.
1 0 0	18.97	55
1 -1 0	24.14	44
0 1 1	28.95	24
1 1 -1	30.43	23
0 1 -2	38.25	13
1 1 1	38.55	53
1 0 -2	38.76	100
2 -1 0	39.71	46
1 -1 2	44.55	33
-1 2 1	45.65	62

```
data_Li2Pd2Au3
_cell_length_a 4.812
_cell_length_b 4.901
_cell_length_c 4.986
_cell_angle_alpha 100.13
_cell_angle_beta 98.56
_cell_angle_gamma 98.78
_space_group_name_H-M_alt 'P -1'
_space_group_IT_number 2
_space_group_name_Hall '-P 1'
loop_
_atom_site_label
_atom_site_type_symbol
_atom_site_fract_x
_atom_site_fract_y
_atom_site_fract_z
Li1 Li 0.080 0.156 0.286
Pd1 Pd 0.218 0.433 0.857
Au1 Au 0.339 0.716 0.426
Au2 Au 0.500 0.000 0.000
```

# 2
ErAl4Sn: calculated powder diffractogram (λ = 1.5418 Å (Cu Kα)), based on a cell relaxed with GGA-PBE.

Largest 10 diffraction maxima, by angle, 2θ from 5° to 70°:
hkl	2theta	Rel. int.
1 1 1	19.64	58
2 0 0	22.72	3
2 2 0	32.34	96
3 1 1	38.12	100
2 2 2	39.89	6
4 0 0	46.39	7
3 3 1	50.83	16
4 2 2	57.68	38
5 1 1	61.55	33
4 4 0	67.70	22

```
data_ErAl4Sn
_cell_length_a 7.829
_cell_length_b 7.829
_cell_length_c 7.829
_cell_angle_alpha 90.00
_cell_angle_beta 90.00
_cell_angle_gamma 90.00
_space_group_name_H-M_alt 'F -4 3 m'
_space_group_IT_number 216
_space_group_name_Hall 'F -4 2 3'
loop_
_atom_site_label
_atom_site_type_symbol
_atom_site_fract_x
_atom_site_fract_y
_atom_site_fract_z
Er1 Er 0.000 0.000 0.000
Al1 Al 0.125 0.125 0.625
Sn1 Sn 0.250 0.250 0.250
```